No. 1
Structure and theoretical powder diffractogram of TmLuSnC (a DFT-relaxed cell (GGA-PBE, OQMD); Cu Kα (weighted mean of Kα1 and Kα2)).
Lines closer than 0.1° are merged.

Peak list (10 most intense, 10 to 90 degrees two-theta, by angle)
- 29.05 deg, I = 23
- 33.93 deg, I = 100
- 34.70 deg, I = 20
- 45.87 deg, I = 16
- 51.50 deg, I = 22
- 61.71 deg, I = 18
- 63.12 deg, I = 17
- 63.60 deg, I = 21
- 84.47 deg, I = 8
- 85.72 deg, I = 15

a b c (Å): 3.5489 3.5489 15.5092
angles (deg): 90.00 90.00 120.00
Space group P6_3mc (No. 186)
One atom of each set of equivalent atoms:
Tm: 0.3333 0.6667 0.0000 x2
Lu: 0.3333 0.6667 0.3324 x2
Sn: 0.3333 0.6667 0.6667 x2
C: 0.0000 0.0000 0.4155 x2

No. 2
Structure and theoretical powder diffractogram of Gd5C6Cl3 (a DFT-relaxed cell (GGA-PBE, OQMD); Cu Kα (weighted mean of Kα1 and Kα2)).
Lines closer than 0.1° are merged.

Peak list (10 most intense, 10 to 90 degrees two-theta, by angle)
- 11.75 deg, I = 25
- 27.27 deg, I = 33
- 27.79 deg, I = 32
- 28.12 deg, I = 74
- 29.48 deg, I = 72
- 33.54 deg, I = 100
- 44.91 deg, I = 36
- 45.59 deg, I = 35
- 48.90 deg, I = 19
- 58.14 deg, I = 19

a b c (Å): 21.7162 3.7248 15.3389
angles (deg): 90.00 123.16 90.00
Space group C2/m (No. 12)
One atom of each set of equivalent atoms:
Gd: 0.0062 0.0000 0.1130 x4
Gd: 0.0068 0.0000 0.3969 x4
Gd: 0.1633 0.5000 0.6392 x4
Gd: 0.1668 0.5000 0.1078 x4
Gd: 0.1741 0.5000 0.8809 x4
C: 0.0371 0.5000 0.0300 x4
C: 0.0373 0.5000 0.5274 x4
C: 0.1244 0.0000 0.7269 x4
C: 0.1238 0.0000 0.9600 x4
C: 0.1968 0.0000 0.0170 x4
C: 0.1971 0.0000 0.7769 x4
Cl: 0.0273 0.5000 0.2710 x4
Cl: 0.1691 0.0000 0.5108 x4
Cl: 0.1712 0.0000 0.2513 x4

No. 3
Structure and theoretical powder diffractogram of H9PtN2ClO2 (a DFT-relaxed cell (GGA-PBE, OQMD); Cu Kα (weighted mean of Kα1 and Kα2)).
Lines closer than 0.1° are merged.

Peak list (10 most intense, 10 to 90 degrees two-theta, by angle)
- 12.45 deg, I = 100
- 12.84 deg, I = 21
- 18.75 deg, I = 19
- 19.54 deg, I = 45
- 20.30 deg, I = 26
- 22.36 deg, I = 43
- 23.29 deg, I = 27
- 26.60 deg, I = 53
- 26.97 deg, I = 38
- 32.67 deg, I = 38

a b c (Å): 7.6446 4.0830 18.8079
angles (deg): 90.00 111.52 90.00
Space group P2_1/c (No. 14)
One atom of each set of equivalent atoms:
H: 0.0068 0.2453 0.2404 x4
H: 0.0916 0.0192 0.0775 x4
H: 0.2122 0.6763 0.0858 x4
H: 0.2246 0.6069 0.6635 x4
H: 0.2622 0.5311 0.3665 x4
H: 0.2659 0.2280 0.7436 x4
H: 0.3529 0.6369 0.8383 x4
H: 0.4181 0.7287 0.9307 x4
H: 0.4827 0.1698 0.7565 x4
Pt: 0.0872 0.0450 0.3854 x4
N: 0.1357 0.6874 0.6107 x4
N: 0.3060 0.7290 0.8792 x4
Cl: 0.2679 0.1968 0.5084 x4
O: 0.0718 0.0702 0.7243 x4
O: 0.3947 0.1560 0.2596 x4

No. 4
Structure and theoretical powder diffractogram of YNbBi2Ir2 (a DFT-relaxed cell (GGA-PBE, OQMD); Cu Kα (weighted mean of Kα1 and Kα2)).
Lines closer than 0.1° are merged.

Peak list (10 most intense, 10 to 90 degrees two-theta, by angle)
- 23.66 deg, I = 61
- 27.38 deg, I = 9
- 39.01 deg, I = 22
- 39.14 deg, I = 100
- 46.18 deg, I = 16
- 46.27 deg, I = 13
- 56.51 deg, I = 20
- 70.74 deg, I = 14
- 70.98 deg, I = 17
- 84.08 deg, I = 7

a b c (Å): 4.6179 9.1939 6.5092
angles (deg): 90.00 90.00 90.00
Space group Pmn2_1 (No. 31)
One atom of each set of equivalent atoms:
Y: 0.0000 0.1268 0.0000 x2
Nb: 0.0000 0.6200 0.0229 x2
Bi: 0.0000 0.1238 0.4941 x2
Bi: 0.0000 0.6279 0.5331 x2
Ir: 0.0000 0.3908 0.2824 x2
Ir: 0.0000 0.8521 0.2361 x2

No. 5
Structure and theoretical powder diffractogram of As2Au2Br5 (a DFT-relaxed cell (GGA-PBE, OQMD); Cu Kα (weighted mean of Kα1 and Kα2)).
Lines closer than 0.1° are merged.

Peak list (10 most intense, 10 to 90 degrees two-theta, by angle)
- 10.39 deg, I = 40
- 20.86 deg, I = 97
- 23.24 deg, I = 73
- 23.44 deg, I = 35
- 24.78 deg, I = 52
- 32.61 deg, I = 40
- 33.89 deg, I = 35
- 38.02 deg, I = 35
- 40.71 deg, I = 100
- 46.18 deg, I = 73

a b c (Å): 4.4324 4.4324 51.0966
angles (deg): 90.00 90.00 120.00
Space group R3m (No. 160, hexagonal axes)
One atom of each set of equivalent atoms:
As: 0.0000 0.0000 0.0000 x3
As: 0.0000 0.0000 0.1714 x3
Au: 0.0000 0.0000 0.5901 x3
Au: 0.0000 0.0000 0.7523 x3
Br: 0.0000 0.0000 0.0797 x3
Br: 0.0000 0.0000 0.5293 x3
Br: 0.0000 0.0000 0.6800 x3
Br: 0.0000 0.0000 0.8135 x3
Br: 0.0000 0.0000 0.9299 x3

No. 6
Structure and theoretical powder diffractogram of Ta3AgTe5 (a DFT-relaxed cell (GGA-PBE, OQMD); Cu Kα (weighted mean of Kα1 and Kα2)).
Lines closer than 0.1° are merged.

Peak list (10 most intense, 10 to 90 degrees two-theta, by angle)
- 10.63 deg, I = 95
- 27.64 deg, I = 26
- 30.29 deg, I = 36
- 32.23 deg, I = 31
- 35.11 deg, I = 21
- 36.80 deg, I = 57
- 37.35 deg, I = 23
- 41.46 deg, I = 100
- 63.00 deg, I = 23
- 79.65 deg, I = 20

a b c (Å): 5.9021 5.9021 8.3250
angles (deg): 90.00 90.00 120.00
Space group P6/mmm (No. 191)
One atom of each set of equivalent atoms:
Ta: 0.0000 0.5000 0.0000 x3
Ag: 0.0000 0.0000 0.5000 x1
Te: 0.0000 0.0000 0.0000 x1
Te: 0.3333 0.6667 0.2741 x4